No. 1
For K3NbSO3, DFT lattice parameters and positions (GGA-PBE) gives the theoretical X-ray powder pattern in this record (copper Kα).

Main lines, low angle first (2θ = 5–70°):
Position (°2θ), I (rel.), hkl
15.1, 26, 1 0 -1
17.9, 40, 0 1 1
20.0, 35, 1 1 0
26.5, 51, 1 1 -2
29.4, 62, 0 2 0
31.1, 100, 1 1 2
33.9, 42, 2 1 -2
40.7, 34, 2 2 0

Structural model:
a = 6.674 Å, b = 6.069 Å, c = 8.868 Å
α = 90.00°, β = 103.16°, γ = 90.00°
Space group P2_1/m (No. 11)
Asymmetric unit:
K1 0.185 0.250 0.035 [2 per cell]
K2 0.244 0.250 0.505 [2 per cell]
K3 0.282 0.750 0.784 [2 per cell]
Nb1 0.211 0.750 0.292 [2 per cell]
S1 0.465 0.750 0.147 [2 per cell]
O1 0.044 0.505 0.241 [4 per cell]
O2 0.330 0.750 0.503 [2 per cell]

---

No. 2
For KNbSeO, DFT lattice parameters and positions (GGA-PBE) gives the theoretical X-ray powder pattern in this record (copper Kα).

Main lines, low angle first (2θ = 5–70°):
Position (°2θ), I (rel.), hkl
6.7, 100, 0 0 1
27.3, 6, 1 1 2
30.4, 14, 1 1 -3
33.7, 6, 0 2 2
35.2, 6, 1 1 -4
36.4, 11, 1 1 4
47.9, 7, 0 0 7
52.7, 5, 1 3 2

Structural model:
a = 5.083 Å, b = 5.799 Å, c = 13.290 Å
α = 90.00°, β = 92.49°, γ = 90.00°
Space group P2_1 (No. 4)
Asymmetric unit:
K1 0.086 0.000 0.159 [2 per cell]
K2 0.414 0.004 0.840 [2 per cell]
Nb1 0.070 0.341 0.564 [2 per cell]
Nb2 0.431 0.341 0.435 [2 per cell]
Se1 0.093 0.494 0.295 [2 per cell]
Se2 0.406 0.494 0.706 [2 per cell]
O1 0.250 0.049 0.500 [2 per cell]
O2 0.250 0.632 0.500 [2 per cell]

---

No. 3
For K3Nb3Si2O13, DFT lattice parameters and positions (GGA-PBE) gives the theoretical X-ray powder pattern in this record (copper Kα).

Main lines, low angle first (2θ = 5–70°):
Position (°2θ), I (rel.), hkl
11.2, 25, 1 0 0
19.4, 38, 1 1 0
22.7, 37, 0 0 2
29.8, 100, 2 1 0
30.0, 74, 1 1 2
32.1, 33, 2 0 2
46.4, 22, 0 0 4
56.1, 32, 2 1 4

Structural model:
a = 9.1612 Å, b = 9.1612 Å, c = 7.8246 Å
α = 90.00°, β = 90.00°, γ = 120.00°
Space group P-62m (No. 189)
Asymmetric unit:
K1 0.0000 0.5978 0.0000 [3 per cell]
K2 0.0000 0.6033 0.5000 [3 per cell]
Nb1 0.0000 0.2379 0.2505 [6 per cell]
Si1 0.3333 0.6667 0.2881 [4 per cell]
O1 0.0000 0.2235 0.0000 [3 per cell]
O2 0.0000 0.2792 0.5000 [3 per cell]
O3 0.0000 0.8228 0.2729 [6 per cell]
O4 0.1809 0.4873 0.2237 [12 per cell]
O5 0.3333 0.6667 0.5000 [2 per cell]

---

No. 4
For K4Nb2Si8O23, DFT lattice parameters and positions (GGA-PBE) gives the theoretical X-ray powder pattern in this record (copper Kα).

Main lines, low angle first (2θ = 5–70°):
Position (°2θ), I (rel.), hkl
15.6, 47, 1 1 0
21.3, 41, 1 -1 0
25.1, 100, 0 2 0
27.7, 99, 1 1 3
28.5, 46, 2 1 -1
31.4, 48, 2 2 0
31.6, 38, 1 1 -3
36.2, 39, 1 -1 3

Structural model:
a = 6.731 Å, b = 7.669 Å, c = 10.966 Å
α = 76.09°, β = 89.26°, γ = 72.67°
Space group P-1 (No. 2)
Asymmetric unit:
K1 0.164 0.311 0.355 [2 per cell]
K2 0.231 0.230 0.022 [2 per cell]
Nb1 0.280 0.723 0.815 [2 per cell]
Si1 0.023 0.188 0.714 [2 per cell]
Si2 0.313 0.704 0.121 [2 per cell]
Si3 0.320 0.693 0.499 [2 per cell]
Si4 0.484 0.098 0.705 [2 per cell]
O1 0.042 0.968 0.751 [2 per cell]
O2 0.078 0.713 0.173 [2 per cell]
O3 0.109 0.587 0.876 [2 per cell]
O4 0.119 0.692 0.417 [2 per cell]
O5 0.242 0.235 0.683 [2 per cell]
O6 0.251 0.702 0.637 [2 per cell]
O7 0.304 0.811 0.974 [2 per cell]
O8 0.405 0.869 0.431 [2 per cell]
O9 0.408 0.825 0.196 [2 per cell]
O10 0.449 0.485 0.150 [2 per cell]
O11 0.492 0.120 0.245 [2 per cell]
O12 0.500 0.500 0.500 [1 per cell]

---

No. 5
For K3Nb3Si2O13, DFT lattice parameters and positions (GGA-PBE) gives the theoretical X-ray powder pattern in this record (copper Kα).

Main lines, low angle first (2θ = 5–70°):
Position (°2θ), I (rel.), hkl
19.5, 23, 1 1 0
22.5, 31, 0 0 2
29.9, 100, 2 1 0
32.1, 23, 2 0 2
46.0, 27, 0 0 4
50.4, 14, 3 2 0
51.8, 14, 4 0 2
55.9, 30, 2 1 4

Structural model:
a = 9.1203 Å, b = 9.1203 Å, c = 7.8892 Å
α = 90.00°, β = 90.00°, γ = 120.00°
Space group P-62c (No. 190)
Asymmetric unit:
K1 0.0306 0.4151 0.2500 [6 per cell]
Nb1 0.0000 0.7611 0.0000 [6 per cell]
Si1 0.3333 0.6667 0.5428 [4 per cell]
O1 0.0000 0.1798 0.0000 [6 per cell]
O2 0.0168 0.7564 0.7500 [6 per cell]
O3 0.1779 0.6881 0.0242 [12 per cell]
O4 0.3333 0.6667 0.7500 [2 per cell]